# 1
Structure and simulated powder diffraction line list of Rb2LiSmCl6 (DFT lattice parameters and positions (GGA-PBE); Cu Kα).
Intensities are scaled so that the largest is 100.

Atomic structure:
```
data_Rb2LiSmCl6
_cell_length_a 10.587
_cell_length_b 10.587
_cell_length_c 10.587
_cell_angle_alpha 90.00
_cell_angle_beta 90.00
_cell_angle_gamma 90.00
_symmetry_space_group_name_H-M 'F m -3 m'
_symmetry_Int_Tables_number 225
_symmetry_space_group_name_Hall '-F 4 2 3'
loop_
_atom_site_label
_atom_site_type_symbol
_atom_site_fract_x
_atom_site_fract_y
_atom_site_fract_z
Rb1 Rb 0.250 0.250 0.250
Li1 Li 0.000 0.000 0.000
Sm1 Sm 0.000 0.000 0.500
Cl1 Cl 0.000 0.000 0.246
```

Peak list (10 most intense, 2θ from 10° to 90°, low angle first)
d_spacing	I_rel	hkl
6.112	61	1 1 1
3.743	100	2 2 0
3.192	44	3 1 1
3.056	36	2 2 2
2.647	92	4 0 0
2.429	23	3 3 1
2.161	47	4 2 2
1.871	62	4 4 0
1.415	25	6 4 2
1.184	27	8 4 0


# 2
Structure and simulated powder diffraction line list of K2Ge2Pb2O7 (DFT lattice parameters and positions (GGA-PBE); Cu Kα).
Intensities are scaled so that the largest is 100.

Atomic structure:
```
data_K2Ge2Pb2O7
_cell_length_a 5.8856
_cell_length_b 5.8856
_cell_length_c 8.1086
_cell_angle_alpha 90.00
_cell_angle_beta 90.00
_cell_angle_gamma 120.00
_symmetry_space_group_name_H-M 'P -3'
_symmetry_Int_Tables_number 147
_symmetry_space_group_name_Hall '-P 3'
loop_
_atom_site_label
_atom_site_type_symbol
_atom_site_fract_x
_atom_site_fract_y
_atom_site_fract_z
K1 K 0.3333 0.6667 0.0796
Ge1 Ge 0.0000 0.0000 0.2774
Pb1 Pb 0.3333 0.6667 0.6182
O1 O 0.0000 0.0000 0.5000
O2 O 0.1484 0.3284 0.7910
```

Peak list (10 most intense, 2θ from 10° to 90°, low angle first)
d_spacing	I_rel	hkl
8.109	41	0 0 1
4.315	65	1 0 1
3.173	100	1 0 2
2.943	84	1 1 0
2.766	29	2 -1 1
2.158	40	0 2 2
1.991	16	2 -1 3
1.884	18	0 1 4
1.740	35	3 -1 2
1.699	17	3 0 0